For RbMg6Hg4, a DFT-relaxed cell (PBE, Alexandria) gives the calculated powder X-ray diffraction pattern in this record (Cu Kα (λ = 1.5418 Å)).

Main lines, sorted by position (2θ = 10–90°):
| two_theta | Rel. int. |
| --- | --- |
| 22.7 | 98.8 |
| 24.9 | 100.0 |
| 28.9 | 64.6 |
| 38.5 | 77.3 |
| 42.6 | 67.7 |
| 59.7 | 55.1 |

Structural model:
Unit cell a=8.264 b=8.264 c=4.666 alpha=90.00 beta=90.00 gamma=120.00
Positions (direct):
Rb: 0.000 0.000 0.000
Mg: 0.208 0.415 0.500
Mg: 0.208 0.792 0.500
Mg: 0.535 0.070 0.000
Mg: 0.535 0.465 0.000
Mg: 0.585 0.792 0.500
Mg: 0.930 0.465 0.000
Hg: 0.333 0.667 0.000
Hg: 0.401 0.200 0.500
Hg: 0.800 0.200 0.500
Hg: 0.800 0.599 0.500

***

For Rb3PtCl6, a DFT-relaxed cell (PBE, Alexandria) gives the calculated powder X-ray diffraction pattern in this record (Cu Kα (λ = 1.5418 Å)).

Main lines, sorted by position (2θ = 10–90°):
| two_theta | Rel. int. |
| --- | --- |
| 13.9 | 71.6 |
| 14.1 | 100.0 |
| 19.9 | 78.1 |
| 24.3 | 82.8 |
| 31.8 | 86.4 |
| 37.4 | 63.3 |

Structural model:
Unit cell a=8.935 b=8.935 c=8.935 alpha=90.85 beta=90.85 gamma=90.85
Positions (direct):
Rb: 0.065 0.572 0.748
Rb: 0.252 0.935 0.428
Rb: 0.428 0.252 0.935
Rb: 0.572 0.748 0.065
Rb: 0.748 0.065 0.572
Rb: 0.935 0.428 0.252
Pt: 0.000 0.000 0.000
Pt: 0.500 0.500 0.500
Cl: 0.049 0.938 0.736
Cl: 0.062 0.264 0.951
Cl: 0.244 0.559 0.422
Cl: 0.264 0.951 0.062
Cl: 0.422 0.244 0.559
Cl: 0.441 0.578 0.756
Cl: 0.559 0.422 0.244
Cl: 0.578 0.756 0.441
Cl: 0.736 0.049 0.938
Cl: 0.756 0.441 0.578
Cl: 0.938 0.736 0.049
Cl: 0.951 0.062 0.264

***

For Mg16Si8HO32, a DFT-relaxed cell (PBE, Alexandria) gives the calculated powder X-ray diffraction pattern in this record (Cu Kα (λ = 1.5418 Å)).

Main lines, sorted by position (2θ = 10–90°):
| two_theta | Rel. int. |
| --- | --- |
| 22.3 | 76.0 |
| 22.7 | 87.7 |
| 31.8 | 83.0 |
| 31.9 | 88.3 |
| 34.9 | 100.0 |
| 60.7 | 76.5 |

Structural model:
Unit cell a=6.107 b=9.640 c=10.392 alpha=90.21 beta=90.93 gamma=90.69
Positions (direct):
Mg: 0.000 0.000 0.000
Mg: 0.002 0.499 0.998
Mg: 0.244 0.496 0.720
Mg: 0.250 0.989 0.733
Mg: 0.256 0.246 0.221
Mg: 0.261 0.744 0.218
Mg: 0.498 0.251 0.943
Mg: 0.501 0.747 0.944
Mg: 0.503 0.494 0.441
Mg: 0.548 0.977 0.431
Mg: 0.744 0.496 0.724
Mg: 0.748 0.993 0.724
Mg: 0.755 0.247 0.216
Mg: 0.763 0.744 0.217
Mg: 0.969 0.255 0.496
Mg: 0.998 0.738 0.502
Si: 0.008 0.461 0.312
Si: 0.018 0.961 0.313
Si: 0.495 0.209 0.627
Si: 0.496 0.709 0.627
Si: 0.505 0.032 0.125
Si: 0.505 0.532 0.126
Si: 0.995 0.281 0.815
Si: 0.997 0.780 0.817
H: 0.239 0.064 0.497
O: 0.003 0.131 0.313
O: 0.005 0.385 0.167
O: 0.012 0.631 0.311
O: 0.016 0.885 0.169
O: 0.215 0.356 0.882
O: 0.216 0.854 0.887
O: 0.220 0.385 0.384
O: 0.237 0.900 0.390
O: 0.246 0.137 0.567
O: 0.278 0.634 0.558
O: 0.288 0.106 0.057
O: 0.289 0.605 0.057
O: 0.491 0.377 0.627
O: 0.496 0.133 0.770
O: 0.498 0.634 0.773
O: 0.499 0.879 0.629
O: 0.503 0.362 0.128
O: 0.508 0.607 0.272
O: 0.509 0.862 0.129
O: 0.510 0.106 0.272
O: 0.693 0.133 0.550
O: 0.709 0.634 0.558
O: 0.719 0.106 0.056
O: 0.720 0.606 0.058
O: 0.782 0.355 0.884
O: 0.785 0.855 0.885
O: 0.789 0.388 0.380
O: 0.810 0.878 0.382
O: 0.988 0.356 0.669
O: 0.997 0.111 0.814
O: 0.997 0.610 0.814
O: 0.998 0.854 0.671

***

For Na6B4Sb2PO16, a DFT-relaxed cell (PBE, Alexandria) gives the calculated powder X-ray diffraction pattern in this record (Cu Kα (λ = 1.5418 Å)).

Main lines, sorted by position (2θ = 10–90°):
| two_theta | Rel. int. |
| --- | --- |
| 10.7 | 57.8 |
| 20.7 | 100.0 |
| 21.6 | 48.6 |
| 32.6 | 63.8 |
| 35.6 | 50.3 |
| 42.0 | 34.4 |

Structural model:
Unit cell a=10.081 b=10.081 c=10.081 alpha=60.00 beta=60.00 gamma=60.00
Positions (direct):
Na: 0.077 0.077 0.673
Na: 0.077 0.673 0.077
Na: 0.077 0.673 0.673
Na: 0.327 0.327 0.923
Na: 0.327 0.923 0.327
Na: 0.327 0.923 0.923
Na: 0.673 0.077 0.077
Na: 0.673 0.077 0.673
Na: 0.673 0.673 0.077
Na: 0.923 0.327 0.327
Na: 0.923 0.327 0.923
Na: 0.923 0.923 0.327
B: 0.285 0.285 0.285
B: 0.285 0.285 0.644
B: 0.285 0.644 0.285
B: 0.356 0.715 0.715
B: 0.644 0.285 0.285
B: 0.715 0.356 0.715
B: 0.715 0.715 0.356
B: 0.715 0.715 0.715
Sb: 0.000 0.500 0.500
Sb: 0.500 0.000 0.500
Sb: 0.500 0.500 0.000
Sb: 0.500 0.500 0.500
P: 0.125 0.125 0.125
P: 0.875 0.875 0.875
O: 0.062 0.062 0.062
O: 0.062 0.062 0.315
O: 0.062 0.315 0.062
O: 0.135 0.310 0.647
O: 0.135 0.407 0.310
O: 0.135 0.647 0.407
O: 0.310 0.135 0.407
O: 0.310 0.407 0.647
O: 0.310 0.647 0.135
O: 0.315 0.062 0.062
O: 0.353 0.593 0.865
O: 0.353 0.690 0.593
O: 0.353 0.865 0.690
O: 0.407 0.135 0.647
O: 0.407 0.310 0.135
O: 0.407 0.647 0.310
O: 0.593 0.353 0.690
O: 0.593 0.690 0.865
O: 0.593 0.865 0.353
O: 0.647 0.135 0.310
O: 0.647 0.310 0.407
O: 0.647 0.407 0.135
O: 0.685 0.938 0.938
O: 0.690 0.353 0.865
O: 0.690 0.593 0.353
O: 0.690 0.865 0.593
O: 0.865 0.353 0.593
O: 0.865 0.593 0.690
O: 0.865 0.690 0.353
O: 0.938 0.685 0.938
O: 0.938 0.938 0.685
O: 0.938 0.938 0.938

***

For Zr2In5Ni, a DFT-relaxed cell (PBE, Alexandria) gives the calculated powder X-ray diffraction pattern in this record (Cu Kα (λ = 1.5418 Å)).

Main lines, sorted by position (2θ = 10–90°):
| two_theta | Rel. int. |
| --- | --- |
| 31.7 | 28.9 |
| 32.9 | 30.6 |
| 36.4 | 100.0 |
| 37.5 | 35.0 |
| 38.5 | 68.6 |
| 41.6 | 39.6 |

Structural model:
Unit cell a=10.164 b=10.164 c=6.801 alpha=90.00 beta=90.00 gamma=90.00
Positions (direct):
Zr: 0.162 0.162 0.000
Zr: 0.198 0.198 0.500
Zr: 0.302 0.698 0.000
Zr: 0.338 0.662 0.500
Zr: 0.662 0.338 0.500
Zr: 0.698 0.302 0.000
Zr: 0.802 0.802 0.500
Zr: 0.838 0.838 0.000
In: 0.000 0.000 0.297
In: 0.000 0.000 0.703
In: 0.059 0.701 0.278
In: 0.059 0.701 0.722
In: 0.201 0.441 0.222
In: 0.201 0.441 0.778
In: 0.299 0.941 0.278
In: 0.299 0.941 0.722
In: 0.441 0.201 0.222
In: 0.441 0.201 0.778
In: 0.500 0.500 0.203
In: 0.500 0.500 0.797
In: 0.559 0.799 0.222
In: 0.559 0.799 0.778
In: 0.701 0.059 0.278
In: 0.701 0.059 0.722
In: 0.799 0.559 0.222
In: 0.799 0.559 0.778
In: 0.941 0.299 0.278
In: 0.941 0.299 0.722
Ni: 0.115 0.885 0.000
Ni: 0.385 0.385 0.500
Ni: 0.615 0.615 0.500
Ni: 0.885 0.115 0.000

***

For Ni2H2Pt, a DFT-relaxed cell (PBE, Alexandria) gives the calculated powder X-ray diffraction pattern in this record (Cu Kα (λ = 1.5418 Å)).

Main lines, sorted by position (2θ = 10–90°):
| two_theta | Rel. int. |
| --- | --- |
| 22.9 | 28.0 |
| 40.7 | 100.0 |
| 41.0 | 33.7 |
| 45.9 | 24.9 |
| 48.1 | 20.8 |
| 48.4 | 20.3 |

Structural model:
Unit cell a=4.660 b=4.675 c=4.747 alpha=100.93 beta=101.25 gamma=118.36
Positions (direct):
Ni: 0.076 0.425 0.250
Ni: 0.252 0.249 0.750
Ni: 0.748 0.751 0.250
Ni: 0.924 0.575 0.750
H: 0.102 0.794 0.500
H: 0.293 0.598 0.999
H: 0.707 0.402 0.001
H: 0.898 0.206 0.500
Pt: 0.402 0.097 0.249
Pt: 0.598 0.903 0.751

***

For Ge2Pd3Rh, a DFT-relaxed cell (PBE, Alexandria) gives the calculated powder X-ray diffraction pattern in this record (Cu Kα (λ = 1.5418 Å)).

Main lines, sorted by position (2θ = 10–90°):
| two_theta | Rel. int. |
| --- | --- |
| 35.8 | 100.0 |
| 36.5 | 33.3 |
| 43.7 | 62.5 |
| 47.2 | 57.4 |
| 48.8 | 25.6 |
| 65.3 | 18.8 |

Structural model:
Unit cell a=7.466 b=7.466 c=7.466 alpha=137.29 beta=62.09 gamma=137.17
Positions (direct):
Ge: 0.125 0.233 0.358
Ge: 0.375 0.733 0.107
Ge: 0.625 0.267 0.893
Ge: 0.875 0.767 0.642
Pd: 0.185 0.737 0.922
Pd: 0.250 0.750 0.500
Pd: 0.315 0.237 0.552
Pd: 0.685 0.763 0.448
Pd: 0.750 0.250 0.500
Pd: 0.815 0.263 0.078
Rh: 0.250 0.250 0.000
Rh: 0.750 0.750 0.000

***

For Tl2CdS2, a DFT-relaxed cell (PBE, Alexandria) gives the calculated powder X-ray diffraction pattern in this record (Cu Kα (λ = 1.5418 Å)).

Main lines, sorted by position (2θ = 10–90°):
| two_theta | Rel. int. |
| --- | --- |
| 25.1 | 85.8 |
| 26.8 | 100.0 |
| 30.5 | 61.1 |
| 30.8 | 63.0 |
| 33.1 | 60.0 |
| 33.6 | 57.9 |

Structural model:
Unit cell a=9.693 b=7.284 c=8.158 alpha=90.00 beta=98.19 gamma=90.00
Positions (direct):
Tl: 0.059 0.223 0.047
Tl: 0.059 0.277 0.547
Tl: 0.282 0.565 0.859
Tl: 0.282 0.935 0.359
Tl: 0.718 0.065 0.641
Tl: 0.718 0.435 0.141
Tl: 0.941 0.723 0.453
Tl: 0.941 0.777 0.953
Cd: 0.376 0.059 0.816
Cd: 0.376 0.441 0.316
Cd: 0.624 0.559 0.684
Cd: 0.624 0.941 0.184
S: 0.141 0.584 0.215
S: 0.141 0.916 0.715
S: 0.453 0.214 0.102
S: 0.453 0.286 0.602
S: 0.547 0.714 0.398
S: 0.547 0.786 0.898
S: 0.859 0.084 0.285
S: 0.859 0.416 0.785

***

For Nd2Sn6Ru, a DFT-relaxed cell (PBE, Alexandria) gives the calculated powder X-ray diffraction pattern in this record (Cu Kα (λ = 1.5418 Å)).

Main lines, sorted by position (2θ = 10–90°):
| two_theta | Rel. int. |
| --- | --- |
| 26.0 | 34.5 |
| 27.4 | 22.3 |
| 30.2 | 100.0 |
| 35.5 | 88.7 |
| 41.5 | 33.3 |
| 45.0 | 33.8 |

Structural model:
Unit cell a=7.018 b=4.028 c=9.372 alpha=90.00 beta=111.70 gamma=90.00
Positions (direct):
Nd: 0.219 0.000 0.440
Nd: 0.781 0.000 0.560
Sn: 0.159 0.500 0.727
Sn: 0.231 0.000 0.001
Sn: 0.434 0.500 0.275
Sn: 0.566 0.500 0.725
Sn: 0.769 0.000 0.999
Sn: 0.841 0.500 0.273
Ru: 0.500 0.500 0.000

***

For PuMg3In2, a DFT-relaxed cell (PBE, Alexandria) gives the calculated powder X-ray diffraction pattern in this record (Cu Kα (λ = 1.5418 Å)).

Main lines, sorted by position (2θ = 10–90°):
| two_theta | Rel. int. |
| --- | --- |
| 11.8 | 100.0 |
| 26.2 | 43.6 |
| 28.1 | 62.1 |
| 32.6 | 99.7 |
| 33.3 | 34.8 |
| 37.2 | 32.2 |

Structural model:
Unit cell a=8.787 b=8.787 c=8.800 alpha=120.04 beta=120.04 gamma=31.90
Positions (direct):
Pu: 0.121 0.121 0.120
Pu: 0.879 0.879 0.880
Mg: 0.001 0.001 0.337
Mg: 0.321 0.321 0.521
Mg: 0.322 0.322 0.123
Mg: 0.678 0.678 0.877
Mg: 0.679 0.679 0.479
Mg: 0.999 0.999 0.663
In: 0.203 0.203 0.703
In: 0.500 0.500 0.162
In: 0.500 0.500 0.838
In: 0.797 0.797 0.297